No. 1
Structure and theoretical powder XRD pattern of CaS (a crystal structure in the Materials Project, relaxed with PBE; Cu Ka).
Kinematic intensities with the Lorentz-polarization factor, no thermal factor.

Principal peaks in the range 10 to 90 degrees two-theta, most intense first:
2θ 31.30, I 100, (2 0 0); 2θ 44.85, I 66, (2 2 0); 2θ 74.19, I 26, (4 2 0); 2θ 55.70, I 22, (2 2 2); 2θ 82.71, I 20, (4 2 2); 2θ 65.29, I 10, (4 0 0); 2θ 27.02, I 3, (1 1 1); 2θ 53.14, I 1, (3 1 1)

Crystal structure
abc: 5.7162 5.7162 5.7162
angles: 90.00 90.00 90.00
Space group Fm-3m (No. 225)
Unique sites:
Ca 0.0000 0.0000 0.0000 (multiplicity 4)
S 0.0000 0.0000 0.5000 (multiplicity 4)

***

No. 2
Structure and theoretical powder XRD pattern of La7Ru3 (a crystal structure in the Materials Project, relaxed with PBE; Cu Ka).
Kinematic intensities with the Lorentz-polarization factor, no thermal factor.

Principal peaks in the range 10 to 90 degrees two-theta, most intense first:
2θ 29.43, I 100, (0 7 1); 2θ 31.86, I 55, (1 7 1); 2θ 29.04, I 55, (1 0 2); 2θ 31.20, I 47, (1 3 2); 2θ 38.81, I 43, (3 0 1); 2θ 31.37, I 37, (2 4 1); 2θ 44.72, I 35, (1 4 3); 2θ 35.86, I 35, (2 7 0); 2θ 34.89, I 29, (0 6 2); 2θ 51.10, I 27, (4 0 1); 2θ 29.71, I 27, (2 3 1); 2θ 53.25, I 25, (3 7 2)

Crystal structure
abc: 7.4136 23.7762 6.7595
angles: 90.00 90.00 90.00
Space group Pnma (No. 62)
Unique sites:
La 0.0504 0.1147 0.1491 (multiplicity 8)
La 0.1699 0.0239 0.6806 (multiplicity 8)
La 0.1808 0.1747 0.6821 (multiplicity 8)
La 0.1828 0.7500 0.6428 (multiplicity 4)
Ru 0.0192 0.7500 0.0287 (multiplicity 4)
Ru 0.1205 0.5950 0.4714 (multiplicity 8)

***

No. 3
Structure and theoretical powder XRD pattern of U (a crystal structure in the Materials Project, relaxed with PBE; Cu Ka).
Kinematic intensities with the Lorentz-polarization factor, no thermal factor.

Principal peaks in the range 10 to 90 degrees two-theta, most intense first:
2θ 36.19, I 100, (1 0 0); 2θ 48.79, I 87, (1 0 1); 2θ 31.59, I 47, (0 0 1); 2θ 74.16, I 27, (1 1 1); 2θ 77.63, I 24, (1 0 2); 2θ 85.41, I 20, (2 0 1); 2θ 65.09, I 19, (1 1 0); 2θ 76.80, I 12, (2 0 0); 2θ 65.97, I 6, (0 0 2)

Crystal structure
abc: 2.8661 2.8661 2.8320
angles: 90.00 90.00 120.00
Space group P6/mmm (No. 191)
Unique sites:
U 0.0000 0.0000 0.0000 (multiplicity 1)

***

No. 4
Structure and theoretical powder XRD pattern of Mn2GaCo4Ge (a crystal structure in the Materials Project, relaxed with PBE; Cu Ka).
Kinematic intensities with the Lorentz-polarization factor, no thermal factor.

Principal peaks in the range 10 to 90 degrees two-theta, most intense first:
2θ 44.75, I 100, (1 1 0); 2θ 82.49, I 30, (3 0 0); 2θ 65.14, I 15, (2 0 8); 2θ 26.96, I 1, (0 1 2); 2θ 53.02, I 1, (1 0 10)

Crystal structure
abc: 4.0505 4.0505 19.8469
angles: 90.00 90.00 120.00
Space group R-3m (No. 166, hexagonal axes)
Unique sites:
Mn 0.0000 0.0000 0.2490 (multiplicity 6)
Ga 0.0000 0.0000 0.5000 (multiplicity 3)
Co 0.0000 0.0000 0.1241 (multiplicity 6)
Co 0.0000 0.0000 0.3742 (multiplicity 6)
Ge 0.0000 0.0000 0.0000 (multiplicity 3)

***

No. 5
Structure and theoretical powder XRD pattern of FePS3 (a crystal structure in the Materials Project, relaxed with PBE; Cu Ka).
Kinematic intensities with the Lorentz-polarization factor, no thermal factor.

Principal peaks in the range 10 to 90 degrees two-theta, most intense first:
2θ 13.00, I 100, (0 1 0); 2θ 34.91, I 55, (1 -1 3); 2θ 35.31, I 27, (2 2 0); 2θ 53.92, I 23, (3 1 3); 2θ 30.36, I 21, (1 0 -3); 2θ 46.88, I 13, (1 3 3); 2θ 30.84, I 11, (2 1 0); 2θ 43.49, I 10, (0 3 2); 2θ 53.03, I 10, (0 0 6); 2θ 47.27, I 9, (2 -2 0); 2θ 55.74, I 7, (3 0 3); 2θ 65.33, I 7, (2 2 -6)

Crystal structure
abc: 5.8583 7.0856 10.3609
angles: 89.98 89.98 73.96
Space group P-1 (No. 2)
Unique sites:
Fe 0.2495 0.0000 0.0738 (multiplicity 2)
Fe 0.2485 0.0000 0.4258 (multiplicity 2)
P 0.1996 0.1613 0.7502 (multiplicity 2)
P 0.3006 0.8388 0.7498 (multiplicity 2)
S 0.0060 0.2316 0.5834 (multiplicity 2)
S 0.0059 0.2315 0.9165 (multiplicity 2)
S 0.0176 0.2257 0.2501 (multiplicity 2)
S 0.4823 0.7741 0.2498 (multiplicity 2)
S 0.4941 0.7688 0.5833 (multiplicity 2)
S 0.4941 0.7686 0.9165 (multiplicity 2)

***

No. 6
Structure and theoretical powder XRD pattern of ZnB8H8N4 (a crystal structure in the Materials Project, relaxed with PBE; Cu Ka).
Kinematic intensities with the Lorentz-polarization factor, no thermal factor.

Principal peaks in the range 10 to 90 degrees two-theta, most intense first:
2θ 16.75, I 100, (1 1 0); 2θ 16.07, I 50, (0 0 2); 2θ 23.29, I 41, (1 1 2); 2θ 23.78, I 27, (2 0 0); 2θ 36.29, I 25, (2 1 3); 2θ 14.30, I 23, (1 0 1); 2θ 28.83, I 20, (2 0 2); 2θ 27.86, I 14, (2 1 1); 2θ 49.48, I 13, (2 1 5); 2θ 27.01, I 12, (1 0 3); 2θ 50.49, I 11, (3 2 3); 2θ 61.34, I 10, (3 2 5)

Crystal structure
abc: 7.4833 7.4833 11.0333
angles: 90.00 90.00 90.00
Space group P4_2/nmc (No. 137, origin choice 2)
Unique sites:
Zn 0.2500 0.7500 0.2500 (multiplicity 2)
B 0.0864 0.7500 0.7131 (multiplicity 8)
B 0.1331 0.7500 0.8684 (multiplicity 8)
H 0.0349 0.7500 0.9533 (multiplicity 8)
H 0.0739 0.2500 0.2923 (multiplicity 8)
N 0.0300 0.7500 0.3561 (multiplicity 8)

***

No. 7
Structure and theoretical powder XRD pattern of PrAl3Br12 (a crystal structure in the Materials Project, relaxed with PBE; Cu Ka).
Kinematic intensities with the Lorentz-polarization factor, no thermal factor.

Principal peaks in the range 10 to 90 degrees two-theta, most intense first:
2θ 10.53, I 100, (0 1 1); 2θ 28.92, I 41, (3 0 1); 2θ 26.88, I 36, (1 2 2); 2θ 25.60, I 34, (2 1 1); 2θ 31.52, I 33, (1 2 4); 2θ 26.73, I 33, (0 2 4); 2θ 34.50, I 32, (2 2 2); 2θ 30.13, I 31, (0 3 2); 2θ 34.38, I 31, (3 0 4); 2θ 28.71, I 26, (1 1 5); 2θ 24.95, I 25, (1 1 4); 2θ 13.27, I 23, (1 0 2)

Crystal structure
abc: 10.8147 10.8147 19.0055
angles: 90.00 90.00 120.00
Space group P3_121 (No. 152)
Unique sites:
Pr 0.0000 0.7305 0.1667 (multiplicity 3)
Al 0.0000 0.0989 0.6667 (multiplicity 3)
Al 0.3010 0.6339 0.2212 (multiplicity 6)
Br 0.0274 0.2317 0.7684 (multiplicity 6)
Br 0.0751 0.1957 0.3643 (multiplicity 6)
Br 0.0824 0.5882 0.2776 (multiplicity 6)
Br 0.1427 0.7170 0.8509 (multiplicity 6)
Br 0.2237 0.7158 0.6230 (multiplicity 6)
Br 0.2337 0.5210 0.4569 (multiplicity 6)

***

No. 8
Structure and theoretical powder XRD pattern of Zr4CuP (a crystal structure in the Materials Project, relaxed with PBE; Cu Ka).
Kinematic intensities with the Lorentz-polarization factor, no thermal factor.

Principal peaks in the range 10 to 90 degrees two-theta, most intense first:
2θ 35.02, I 100, (2 1 1); 2θ 44.06, I 29, (3 1 0); 2θ 38.54, I 21, (1 1 2); 2θ 43.45, I 20, (2 0 2); 2θ 60.27, I 20, (2 1 3); 2θ 70.61, I 15, (3 3 2); 2θ 33.02, I 13, (0 0 2); 2θ 61.23, I 12, (4 1 1); 2θ 81.74, I 11, (5 2 1); 2θ 67.15, I 11, (4 0 2); 2θ 85.84, I 8, (3 1 4); 2θ 39.20, I 5, (2 2 0)

Crystal structure
abc: 6.4995 6.4995 5.4254
angles: 90.00 90.00 90.00
Space group P4/mcc (No. 124)
Unique sites:
Zr 0.1535 0.3390 0.0000 (multiplicity 8)
Cu 0.5000 0.5000 0.2500 (multiplicity 2)
P 0.0000 0.0000 0.2500 (multiplicity 2)

***

No. 9
Structure and theoretical powder XRD pattern of LaNdTl2 (a crystal structure in the Materials Project, relaxed with PBE; Cu Ka).
Kinematic intensities with the Lorentz-polarization factor, no thermal factor.

Principal peaks in the range 10 to 90 degrees two-theta, most intense first:
2θ 32.01, I 100, (2 2 0); 2θ 57.05, I 39, (4 2 2); 2θ 45.90, I 19, (4 0 0); 2θ 76.12, I 17, (6 2 0); 2θ 66.92, I 12, (4 4 0); 2θ 84.96, I 4, (4 4 4); 2θ 22.48, I 3, (2 0 0); 2θ 51.69, I 2, (4 2 0); 2θ 39.47, I 1, (2 2 2); 2θ 71.58, I 1, (6 0 0); 2θ 80.57, I 1, (6 2 2)

Crystal structure
abc: 7.9091 7.9091 7.9091
angles: 90.00 90.00 90.00
Space group Fm-3m (No. 225)
Unique sites:
La 0.0000 0.0000 0.0000 (multiplicity 4)
Nd 0.0000 0.0000 0.5000 (multiplicity 4)
Tl 0.2500 0.2500 0.2500 (multiplicity 8)

***

No. 10
Structure and theoretical powder XRD pattern of LaGaO3 (a crystal structure in the Materials Project, relaxed with PBE; Cu Ka).
Kinematic intensities with the Lorentz-polarization factor, no thermal factor.

Principal peaks in the range 10 to 90 degrees two-theta, most intense first:
2θ 32.39, I 100, (1 0 4); 2θ 31.99, I 97, (1 1 0); 2θ 46.17, I 58, (0 2 4); 2θ 57.27, I 41, (2 1 4); 2θ 57.02, I 24, (3 0 0); 2θ 58.03, I 19, (0 1 8); 2θ 76.96, I 17, (1 2 8); 2θ 67.81, I 17, (2 0 8); 2θ 76.30, I 16, (1 3 4); 2θ 66.89, I 16, (2 2 0); 2θ 22.61, I 15, (0 1 2); 2θ 39.54, I 15, (2 0 2)

Crystal structure
abc: 5.5948 5.5948 13.4604
angles: 90.00 90.00 120.00
Space group R-3c (No. 167, hexagonal axes)
Unique sites:
La 0.0000 0.0000 0.2500 (multiplicity 6)
Ga 0.0000 0.0000 0.0000 (multiplicity 6)
O 0.0000 0.4309 0.2500 (multiplicity 18)

***

No. 11
Structure and theoretical powder XRD pattern of Ca3Cr2N4 (a crystal structure in the Materials Project, relaxed with PBE; Cu Ka).
Kinematic intensities with the Lorentz-polarization factor, no thermal factor.

Principal peaks in the range 10 to 90 degrees two-theta, most intense first:
2θ 32.34, I 100, (2 2 1); 2θ 31.21, I 62, (3 1 -1); 2θ 43.47, I 37, (5 1 0); 2θ 35.61, I 36, (1 1 -2); 2θ 44.22, I 35, (3 3 -1); 2θ 43.71, I 32, (0 4 0); 2θ 47.59, I 24, (1 3 -2); 2θ 16.49, I 23, (2 0 0); 2θ 33.21, I 20, (0 0 2); 2θ 48.97, I 15, (4 0 2); 2θ 54.04, I 15, (5 3 0); 2θ 75.64, I 11, (8 2 -1)

Crystal structure
abc: 10.7658 8.2845 5.4016
angles: 90.00 92.75 90.00
Space group C2/c (No. 15)
Unique sites:
Ca 0.0000 0.1000 0.2500 (multiplicity 4)
Ca 0.1178 0.3671 0.5411 (multiplicity 8)
Cr 0.2049 0.1247 0.9163 (multiplicity 8)
N 0.1219 0.3235 0.0254 (multiplicity 8)
N 0.1650 0.0681 0.5882 (multiplicity 8)